1.
TaAl2O6: calculated X-ray diffraction stick pattern (Cu Ka), based on a crystal structure in Alexandria, relaxed with PBE.
Intensities are scaled so that the largest is 100.

Cell and atoms:
Cell lengths 4.563, 4.563, 8.810 Å; angles 90.00, 90.00, 90.00 degrees
Space group P4_2/mnm (No. 136)
Inequivalent atoms, fractional coordinates:
Ta  0.000  0.000  0.000
Al  0.000  0.000  0.335
O  0.190  0.190  0.500
O  0.202  0.202  0.172

Principal peaks in the range 2θ = 15–90°, low angle first:
20.2°, I 31, hkl 0 0 2
21.9°, I 100, hkl 1 0 1
27.6°, I 80, hkl 1 1 0
34.5°, I 35, hkl 1 1 2
36.4°, I 52, hkl 1 0 3
44.7°, I 18, hkl 2 0 2
45.6°, I 32, hkl 2 1 1
54.8°, I 51, hkl 2 1 3
57.1°, I 14, hkl 2 2 0
69.6°, I 17, hkl 3 0 3

---

2.
TaTiAlO6: calculated X-ray diffraction stick pattern (Cu Ka), based on a crystal structure in Alexandria, relaxed with PBE.
Intensities are scaled so that the largest is 100.

Cell and atoms:
Cell lengths 4.624, 4.624, 8.931 Å; angles 90.00, 90.00, 90.00 degrees
Space group P4_2nm (No. 102)
Inequivalent atoms, fractional coordinates:
Ta  0.000  0.000  0.000
Ti  0.000  0.000  0.665
Al  0.000  0.000  0.334
O  0.192  0.192  0.496
O  0.195  0.195  0.172
O  0.201  0.201  0.833

Principal peaks in the range 2θ = 15–90°, low angle first:
19.9°, I 29, hkl 0 0 2
21.6°, I 94, hkl 1 0 1
27.3°, I 100, hkl 1 1 0
34.0°, I 33, hkl 1 1 2
35.9°, I 66, hkl 1 0 3
39.0°, I 17, hkl 2 0 0
45.0°, I 30, hkl 2 1 1
54.0°, I 63, hkl 2 1 3
56.3°, I 17, hkl 2 2 0
68.6°, I 20, hkl 3 0 3

---

What did the second record say?
TaTiAlO6: calculated X-ray diffraction stick pattern (Cu Ka), based on a crystal structure in Alexandria, relaxed with PBE.
Intensities are scaled so that the largest is 100.

Cell and atoms:
Cell lengths 4.624, 4.624, 8.931 Å; angles 90.00, 90.00, 90.00 degrees
Space group P4_2nm (No. 102)
Inequivalent atoms, fractional coordinates:
Ta  0.000  0.000  0.000
Ti  0.000  0.000  0.665
Al  0.000  0.000  0.334
O  0.192  0.192  0.496
O  0.195  0.195  0.172
O  0.201  0.201  0.833

Principal peaks in the range 2θ = 15–90°, low angle first:
19.9°, I 29, hkl 0 0 2
21.6°, I 94, hkl 1 0 1
27.3°, I 100, hkl 1 1 0
34.0°, I 33, hkl 1 1 2
35.9°, I 66, hkl 1 0 3
39.0°, I 17, hkl 2 0 0
45.0°, I 30, hkl 2 1 1
54.0°, I 63, hkl 2 1 3
56.3°, I 17, hkl 2 2 0
68.6°, I 20, hkl 3 0 3